# CsY2CuTe4
Calculated powder X-ray diffraction pattern, a wavelength of 1.5418 Å. Input: a DFT-relaxed cell (PBE, the Materials Project).
Lines closer than 0.1° are merged.

Atomic structure:
a b c (Å): 37.517 4.544 21.038
angles (deg): 90.00 107.98 90.00
Space group C2/m (No. 12)
One atom of each set of equivalent atoms:
Cs1 0.017 0.000 0.248
Cs2 0.111 0.000 0.452
Cs3 0.239 0.000 0.115
Y1 0.000 0.000 0.000
Y2 0.000 0.000 0.500
Y3 0.102 0.500 0.026
Y4 0.122 0.000 0.862
Y5 0.131 0.500 0.690
Y6 0.167 0.000 0.279
Y7 0.241 0.000 0.583
Cu1 0.048 0.500 0.640
Cu2 0.109 0.500 0.173
Cu3 0.201 0.000 0.680
Te1 0.023 0.500 0.419
Te2 0.039 0.500 0.095
Te3 0.062 0.000 0.935
Te4 0.076 0.500 0.774
Te5 0.080 0.000 0.605
Te6 0.117 0.500 0.298
Te7 0.140 0.000 0.130
Te8 0.164 0.500 0.959
Te9 0.176 0.000 0.781
Te10 0.182 0.500 0.600
Te11 0.208 0.000 0.432
Te12 0.224 0.500 0.268

Main lines, low angle first (2θ from 5° to 70°):
2theta	d [Å]	I/Imax	index
24.26	3.669	40.6	1 1 3
25.95	3.433	51.4	7 1 -2
26.10	3.415	95.4	3 1 3
26.70	3.338	79.3	10 0 1
28.72	3.109	48.9	2 0 6
31.44	2.845	41.7	12 0 -5
39.67	2.272	100.0	0 2 0
40.16	2.245	84.2	7 1 -8